Calculated powder XRD pattern
Compound: SmBiH
Radiation: Cu Kα, 1.54184 Å
Structure: the GGA-PBE geometry in Alexandria

```
3
Lattice="3.8947 0.0000 0.0000 -1.9474 3.3729 0.0000 0.0000 0.0000 4.9084" Properties=species:S:1:pos:R:3 pbc="T T T"
Sm 0.0000 0.0000 0.0000
Bi 1.9474 1.1243 2.4542
H 0.0000 2.2486 0.0000
```

Most intense lines, 10° ≤ 2θ ≤ 80°, by angle:
| (hkl) | d_spacing | I_rel |
| --- | --- | --- |
| 1 0 0 | 3.373 | 29 |
| 1 0 1 | 2.780 | 100 |
| 0 0 2 | 2.454 | 16 |
| 1 0 2 | 1.984 | 14 |
| 1 1 0 | 1.947 | 24 |
| 2 0 1 | 1.595 | 19 |
| 1 1 2 | 1.525 | 22 |
| 1 0 3 | 1.472 | 15 |
| 2 0 2 | 1.390 | 4 |
| 2 1 1 | 1.234 | 17 |